Starting from a DFT-relaxed cell (PBE, Alexandria), the powder XRD pattern of Th6SnRu was calculated for Cu Kα X-rays.

Structure:
Cell lengths 10.0616, 10.0616, 8.6915 Å; angles 90.00, 90.00, 120.00 degrees
Space group R-3m (No. 166, hexagonal axes)
Symmetry-distinct sites (fractional):
Th 0.0683 0.5341 0.3357 x18
Sn 0.0000 0.0000 0.0000 x3
Ru 0.0000 0.0000 0.5000 x3

Peak list (10 most intense, 15° ≤ 2θ ≤ 90°, in order of rising 2θ)
22.8 deg, d 3.895, I 51, hkl 0 2 1
29.0 deg, d 3.079, I 100, hkl 2 1 1
30.8 deg, d 2.898, I 52, hkl 0 0 3
34.2 deg, d 2.625, I 98, hkl 1 2 2
35.7 deg, d 2.515, I 47, hkl 2 2 0
47.9 deg, d 1.899, I 23, hkl 2 2 3
50.3 deg, d 1.814, I 39, hkl 2 1 4
53.6 deg, d 1.709, I 28, hkl 0 5 1
56.9 deg, d 1.618, I 33, hkl 5 0 2
69.1 deg, d 1.360, I 30, hkl 0 5 4



Starting from a DFT-relaxed cell (PBE, Alexandria), the powder XRD pattern of ThSn2Ru2 was calculated for Cu Kα X-rays.

Structure:
Cell lengths 6.097, 9.659, 8.176 Å; angles 90.00, 111.73, 90.00 degrees
Space group C2/c (No. 15)
Symmetry-distinct sites (fractional):
Th 0.000 0.125 0.250 x4
Sn 0.108 0.375 0.963 x8
Ru 0.000 0.150 0.750 x4
Ru 0.000 0.400 0.250 x4

Peak list (10 most intense, 15° ≤ 2θ ≤ 90°, in order of rising 2θ)
24.6 deg, d 3.612, I 68, hkl 1 1 1
31.6 deg, d 2.829, I 100, hkl 2 0 -2
34.3 deg, d 2.617, I 63, hkl 1 1 2
34.8 deg, d 2.578, I 24, hkl 2 2 -1
36.2 deg, d 2.482, I 52, hkl 1 3 1
37.2 deg, d 2.415, I 55, hkl 0 4 0
43.6 deg, d 2.077, I 55, hkl 1 3 -3
47.9 deg, d 1.899, I 22, hkl 0 0 4
49.6 deg, d 1.837, I 48, hkl 2 4 -2
62.2 deg, d 1.493, I 28, hkl 0 4 4



Starting from a DFT-relaxed cell (PBE, Alexandria), the powder XRD pattern of Th8Sn2Ru was calculated for Cu Kα X-rays.

Structure:
Cell lengths 18.500, 5.559, 6.786 Å; angles 90.00, 109.06, 90.00 degrees
Space group C2/m (No. 12)
Symmetry-distinct sites (fractional):
Th 0.005 0.000 0.240 x4
Th 0.089 0.500 0.742 x4
Th 0.141 0.500 0.308 x4
Th 0.222 0.000 0.129 x4
Sn 0.171 0.000 0.615 x4
Ru 0.000 0.500 0.000 x2

Peak list (10 most intense, 15° ≤ 2θ ≤ 90°, in order of rising 2θ)
27.8 deg, d 3.207, I 39, hkl 0 0 2
28.2 deg, d 3.164, I 39, hkl 4 0 1
29.5 deg, d 3.024, I 48, hkl 5 1 -1
30.2 deg, d 2.960, I 97, hkl 5 1 0
31.1 deg, d 2.872, I 40, hkl 1 1 -2
31.5 deg, d 2.839, I 69, hkl 3 1 -2
32.2 deg, d 2.779, I 100, hkl 0 2 0
34.1 deg, d 2.630, I 32, hkl 1 1 2
35.1 deg, d 2.556, I 55, hkl 5 1 -2
36.8 deg, d 2.443, I 29, hkl 5 1 1



Starting from a DFT-relaxed cell (PBE, Alexandria), the powder XRD pattern of Ti2SnRu3 was calculated for Cu Kα X-rays.

Structure:
Cell lengths 3.132, 3.132, 9.369 Å; angles 90.00, 90.00, 90.00 degrees
Space group P4/mmm (No. 123)
Symmetry-distinct sites (fractional):
Ti 0.000 0.000 0.163 x2
Sn 0.000 0.000 0.500 x1
Ru 0.500 0.500 0.000 x1
Ru 0.500 0.500 0.322 x2

Peak list (10 most intense, 15° ≤ 2θ ≤ 90°, in order of rising 2θ)
28.5 deg, d 3.129, I 4, hkl 1 0 0
30.1 deg, d 2.971, I 4, hkl 1 0 1
34.4 deg, d 2.604, I 4, hkl 1 0 2
40.8 deg, d 2.213, I 100, hkl 1 1 0
59.0 deg, d 1.566, I 11, hkl 2 0 0
59.2 deg, d 1.562, I 5, hkl 0 0 6
74.2 deg, d 1.278, I 22, hkl 2 1 3
74.3 deg, d 1.276, I 10, hkl 1 1 6
88.2 deg, d 1.107, I 4, hkl 2 2 0
88.4 deg, d 1.106, I 7, hkl 2 0 6



Starting from a DFT-relaxed cell (PBE, Alexandria), the powder XRD pattern of Tm2Sn2Ru3 was calculated for Cu Kα X-rays.

Structure:
Cell lengths 8.222, 8.222, 8.222 Å; angles 90.00, 90.00, 90.00 degrees
Space group I2_13 (No. 199)
Symmetry-distinct sites (fractional):
Tm 0.066 0.434 0.566 x8
Sn 0.218 0.218 0.218 x8
Ru 0.000 0.250 0.959 x12

Peak list (10 most intense, 15° ≤ 2θ ≤ 90°, in order of rising 2θ)
30.8 deg, d 2.907, I 32, hkl 2 2 0
34.5 deg, d 2.600, I 100, hkl 3 1 0
37.9 deg, d 2.373, I 27, hkl 2 2 2
41.1 deg, d 2.197, I 64, hkl 3 2 1
44.1 deg, d 2.055, I 15, hkl 4 0 0
52.2 deg, d 1.753, I 14, hkl 3 3 2
57.1 deg, d 1.612, I 47, hkl 4 1 3
70.6 deg, d 1.334, I 17, hkl 5 2 3
79.0 deg, d 1.212, I 12, hkl 6 3 1
87.1 deg, d 1.119, I 15, hkl 7 2 1



Starting from a DFT-relaxed cell (PBE, Alexandria), the powder XRD pattern of U3SnRu2 was calculated for Cu Kα X-rays.

Structure:
Cell lengths 7.971, 10.944, 5.642 Å; angles 90.00, 91.29, 90.00 degrees
Space group C2/c (No. 15)
Symmetry-distinct sites (fractional):
U 0.000 0.233 0.250 x4
U 0.149 0.474 0.981 x8
Sn 0.000 0.056 0.750 x4
Ru 0.204 0.260 0.740 x8

Peak list (10 most intense, 15° ≤ 2θ ≤ 90°, in order of rising 2θ)
31.2 deg, d 2.871, I 54, hkl 1 3 -1
32.7 deg, d 2.736, I 70, hkl 0 4 0
34.8 deg, d 2.581, I 63, hkl 3 1 0
35.0 deg, d 2.566, I 44, hkl 1 1 2
35.8 deg, d 2.507, I 100, hkl 0 2 2
38.7 deg, d 2.328, I 32, hkl 2 0 -2
44.9 deg, d 2.019, I 25, hkl 3 3 -1
48.6 deg, d 1.872, I 24, hkl 4 2 0
57.2 deg, d 1.611, I 24, hkl 4 0 2
66.3 deg, d 1.410, I 24, hkl 0 0 4